[1]
CuH6N2Cl2: computed X-ray powder pattern (Cu Kα (λ = 1.5418 Å)), based on DFT lattice parameters and positions (PBE).
Kinematic intensities with the Lorentz-polarization factor, no thermal factor.

Structure:
Cell lengths 7.7496, 10.9037, 5.9229 Å; angles 90.00, 90.00, 90.00 degrees
Space group Cmcm (No. 63)
Symmetry-distinct sites (fractional):
Cu (0.0000, 0.1113, 0.2500) [4 per cell]
H (0.1929, 0.3483, 0.6101) [16 per cell]
H (0.2009, 0.4798, 0.7500) [8 per cell]
N (0.2438, 0.3906, 0.7500) [8 per cell]
Cl (0.0000, 0.1057, 0.7500) [4 per cell]
Cl (0.0000, 0.3310, 0.2500) [4 per cell]

Main lines, by angle (2θ = 10–90°):
2θ 14.02, rel. 100; 2θ 20.56, rel. 61; 2θ 22.95, rel. 49; 2θ 30.18, rel. 65; 2θ 32.86, rel. 34; 2θ 33.42, rel. 26; 2θ 38.25, rel. 28; 2θ 43.09, rel. 22; 2θ 45.21, rel. 24; 2θ 53.51, rel. 22


[2]
Ac4InSe5: computed X-ray powder pattern (Cu Kα (λ = 1.5418 Å)), based on DFT lattice parameters and positions (PBE).
Kinematic intensities with the Lorentz-polarization factor, no thermal factor.

Structure:
Cell lengths 4.4909, 4.4909, 55.9622 Å; angles 90.00, 90.00, 120.00 degrees
Space group R-3m (No. 166, hexagonal axes)
Symmetry-distinct sites (fractional):
Ac (0.0000, 0.0000, 0.0975) [6 per cell]
Ac (0.0000, 0.0000, 0.3012) [6 per cell]
In (0.0000, 0.0000, 0.5000) [3 per cell]
Se (0.0000, 0.0000, 0.0000) [3 per cell]
Se (0.0000, 0.0000, 0.2050) [6 per cell]
Se (0.0000, 0.0000, 0.3983) [6 per cell]

Main lines, by angle (2θ = 10–90°):
2θ 24.23, rel. 26; 2θ 27.94, rel. 100; 2θ 39.68, rel. 37; 2θ 40.16, rel. 39; 2θ 47.25, rel. 10; 2θ 49.63, rel. 21; 2θ 57.73, rel. 12; 2θ 65.00, rel. 16; 2θ 65.67, rel. 18; 2θ 72.66, rel. 13


[3]
Pm2Zn6Cd: computed X-ray powder pattern (Cu Kα (λ = 1.5418 Å)), based on DFT lattice parameters and positions (PBE).
Kinematic intensities with the Lorentz-polarization factor, no thermal factor.

Structure:
Cell lengths 5.8833, 5.8833, 5.9403 Å; angles 90.00, 90.00, 120.00 degrees
Space group P-3m1 (No. 164)
Symmetry-distinct sites (fractional):
Pm (0.3333, 0.6667, 0.3448) [2 per cell]
Zn (0.1809, 0.3619, 0.8458) [6 per cell]
Cd (0.0000, 0.0000, 0.5000) [1 per cell]

Main lines, by angle (2θ = 10–90°):
2θ 30.39, rel. 26; 2θ 34.01, rel. 63; 2θ 34.97, rel. 78; 2θ 38.45, rel. 100; 2θ 49.38, rel. 14; 2θ 56.34, rel. 17; 2θ 56.99, rel. 23; 2θ 63.22, rel. 25; 2θ 67.89, rel. 21; 2θ 74.33, rel. 14


[4]
Na3As: computed X-ray powder pattern (Cu Kα (λ = 1.5418 Å)), based on DFT lattice parameters and positions (PBE).
Kinematic intensities with the Lorentz-polarization factor, no thermal factor.

Structure:
Cell lengths 5.0746, 5.0746, 7.1675 Å; angles 90.00, 90.00, 90.00 degrees
Space group I4/mmm (No. 139)
Symmetry-distinct sites (fractional):
Na (0.0000, 0.0000, 0.0000) [2 per cell]
Na (0.0000, 0.5000, 0.2500) [4 per cell]
As (0.0000, 0.0000, 0.5000) [2 per cell]

Main lines, by angle (2θ = 10–90°):
2θ 21.46, rel. 30; 2θ 24.82, rel. 15; 2θ 35.39, rel. 100; 2θ 41.76, rel. 15; 2θ 50.92, rel. 17; 2θ 55.87, rel. 7; 2θ 57.45, rel. 6; 2θ 63.54, rel. 33; 2θ 74.88, rel. 10; 2θ 85.60, rel. 9